Starting from a structure optimized by DFT (GGA-PBE), the X-ray diffraction stick pattern of Gd3S3N was simulated for Cu Kα (weighted mean of Kα1 and Kα2).
Neutral-atom scattering factors, no anomalous dispersion.

Main lines, by angle (5 to 70 degrees two-theta):
26.18 deg, rel. 100.0
27.31 deg, rel. 58.0
27.64 deg, rel. 72.0
27.78 deg, rel. 73.4
32.84 deg, rel. 33.7
35.03 deg, rel. 43.4
39.25 deg, rel. 61.6
46.66 deg, rel. 47.5

Structure:
```
28
Lattice="12.0158 0.0000 0.0000 0.0000 3.8913 0.0000 0.0000 0.0000 12.9090" Properties=species:S:1:pos:R:3 pbc="T T T"
Gd 0.5422 0.9728 1.8653
Gd 0.8787 0.9728 8.1283
Gd 2.6055 0.9728 11.1295
Gd 3.4024 2.9185 4.6750
Gd 5.1292 2.9185 1.6738
Gd 5.4657 2.9185 8.3198
Gd 6.5501 0.9728 4.5892
Gd 6.8866 0.9728 11.2352
Gd 8.6134 0.9728 8.2340
Gd 9.4103 2.9185 1.7795
Gd 11.1371 2.9185 4.7807
Gd 11.4737 2.9185 11.0437
S 1.0762 0.9728 5.1454
S 1.6256 2.9185 12.8243
S 2.7281 2.9185 8.9588
S 3.2798 0.9728 2.5043
S 4.3823 0.9728 6.3698
S 4.9317 2.9185 11.5999
S 7.0841 0.9728 1.3091
S 7.6335 2.9185 6.5392
S 8.7360 2.9185 10.4047
S 9.2877 0.9728 3.9502
S 10.3902 0.9728 0.0847
S 10.9397 2.9185 7.7636
N 0.4819 0.9728 10.2988
N 5.5260 2.9185 3.8443
N 6.4899 0.9728 9.0647
N 11.5339 2.9185 2.6102
```


Starting from a structure optimized by DFT (GGA-PBE), the X-ray diffraction stick pattern of GdThN2 was simulated for Cu Kα (weighted mean of Kα1 and Kα2).
Neutral-atom scattering factors, no anomalous dispersion.

Main lines, by angle (5 to 70 degrees two-theta):
30.35 deg, rel. 100.0
30.47 deg, rel. 33.0
35.22 deg, rel. 91.1
50.58 deg, rel. 32.4
50.74 deg, rel. 32.1
60.18 deg, rel. 46.3
60.34 deg, rel. 15.3
63.13 deg, rel. 16.6

Structure:
```
12
Lattice="3.6091 0.0000 0.0000 -1.8046 3.1256 0.0000 0.0000 0.0000 17.6042" Properties=species:S:1:pos:R:3 pbc="T T T"
Gd 0.0000 0.0000 0.0000
Gd 0.0000 2.0837 11.7362
Gd 1.8046 1.0419 5.8681
Th 0.0000 0.0000 8.8021
Th 0.0000 2.0837 2.9340
Th 1.8046 1.0419 14.6702
N 0.0000 0.0000 4.4044
N 0.0000 0.0000 13.1998
N 0.0000 2.0837 7.3317
N 0.0000 2.0837 16.1406
N 1.8046 1.0419 1.4637
N 1.8046 1.0419 10.2725
```


Starting from a structure optimized by DFT (GGA-PBE), the X-ray diffraction stick pattern of GdUN2 was simulated for Cu Kα (weighted mean of Kα1 and Kα2).
Neutral-atom scattering factors, no anomalous dispersion.

Main lines, by angle (5 to 70 degrees two-theta):
31.30 deg, rel. 34.3
31.58 deg, rel. 100.0
36.54 deg, rel. 90.6
52.46 deg, rel. 31.8
52.82 deg, rel. 31.4
62.37 deg, rel. 15.7
62.69 deg, rel. 30.6
65.94 deg, rel. 16.2

Structure:
```
12
Lattice="3.4663 0.0000 0.0000 -1.7332 3.0019 0.0000 0.0000 0.0000 17.1464" Properties=species:S:1:pos:R:3 pbc="T T T"
Gd 0.0000 0.0000 0.0000
Gd 0.0000 2.0013 11.4310
Gd 1.7332 1.0006 5.7155
U 0.0000 0.0000 8.5732
U 0.0000 2.0013 2.8577
U 1.7332 1.0006 14.2887
N 0.0000 0.0000 4.1612
N 0.0000 0.0000 12.9852
N 0.0000 2.0013 7.2698
N 0.0000 2.0013 15.5922
N 1.7332 1.0006 1.5543
N 1.7332 1.0006 9.8767
```


Starting from a structure optimized by DFT (GGA-PBE), the X-ray diffraction stick pattern of Na3GdTi2Nb2O12 was simulated for Cu Kα (weighted mean of Kα1 and Kα2).
Neutral-atom scattering factors, no anomalous dispersion.

Main lines, by angle (5 to 70 degrees two-theta):
11.35 deg, rel. 47.7
19.55 deg, rel. 47.3
19.84 deg, rel. 45.8
32.04 deg, rel. 52.7
32.37 deg, rel. 99.3
32.51 deg, rel. 100.0
32.77 deg, rel. 47.4
58.14 deg, rel. 44.8

Structure:
```
20
Lattice="5.4655 0.0000 0.0000 0.0480 5.5875 0.0000 0.0037 0.0145 7.7977" Properties=species:S:1:pos:R:3 pbc="T T T"
Na 0.0000 0.0000 0.0000
Na 0.1269 5.2663 3.9117
Na 2.8162 2.7535 0.0101
Gd 2.7518 2.3366 3.9118
Ti 2.8486 5.3372 5.8158
Ti 5.4852 2.5628 2.0133
Nb 0.0394 2.6203 5.9601
Nb 2.8434 5.3351 1.8605
O 0.4305 2.5684 0.0371
O 1.2510 1.1689 2.3481
O 1.2731 1.1614 5.4769
O 1.6977 3.8353 2.3458
O 1.7151 3.8561 5.4791
O 2.3965 5.4049 7.7860
O 3.1766 0.0139 3.9337
O 3.9050 1.5420 6.0587
O 3.9161 1.5486 1.7722
O 4.3895 4.3337 6.1399
O 4.4206 4.3039 1.6642
O 5.0429 2.8028 3.8846
```


Starting from a structure optimized by DFT (GGA-PBE), the X-ray diffraction stick pattern of Na3GdTi2Nb2O12 was simulated for Cu Kα (weighted mean of Kα1 and Kα2).
Neutral-atom scattering factors, no anomalous dispersion.

Main lines, by angle (5 to 70 degrees two-theta):
5.67 deg, rel. 29.8
11.35 deg, rel. 24.0
17.06 deg, rel. 25.3
23.40 deg, rel. 42.7
31.92 deg, rel. 24.7
32.39 deg, rel. 100.0
46.31 deg, rel. 33.1
58.09 deg, rel. 33.7

Structure:
```
40
Lattice="5.4839 0.0000 0.0000 -0.0021 5.6077 0.0000 -0.0056 -0.0019 15.5957" Properties=species:S:1:pos:R:3 pbc="T T T"
Na 0.0000 0.0000 0.0000
Na -0.0005 -0.0001 7.7010
Na 0.0469 0.2762 11.6474
Na 2.7312 3.0799 11.6477
Na 2.7765 2.8024 15.5917
Na 2.7810 2.8027 7.7049
Gd 0.0675 0.4355 3.8511
Gd 2.7126 3.2412 3.8497
Ti 2.8136 0.2565 5.8356
Ti 2.8154 0.2581 1.8679
Ti 5.4480 3.0603 1.8652
Ti 5.4471 3.0596 5.8343
Nb 0.0153 2.9130 13.6309
Nb 0.0286 2.9222 9.6675
Nb 2.7499 0.1114 13.6308
Nb 2.7669 0.1147 9.6663
O 0.3927 3.0107 0.0160
O 0.3885 3.0092 7.6837
O 1.1583 4.5663 9.9466
O 1.1617 4.5668 13.3470
O 1.1695 4.4703 2.3620
O 1.1691 4.4701 5.3372
O 1.6124 1.6650 5.3363
O 1.6140 1.6662 2.3626
O 1.6124 1.7611 9.9474
O 1.6170 1.7638 13.3477
O 2.3902 0.2059 7.6826
O 2.3937 0.2073 0.0155
O 3.1393 0.0552 11.6471
O 3.2331 5.5470 3.8486
O 3.8893 4.0327 1.7422
O 3.8880 4.0322 5.9560
O 3.9053 4.1255 9.3903
O 3.9102 4.1291 13.9046
O 4.3494 1.3233 9.3895
O 4.3532 1.3237 13.9054
O 4.3778 1.2291 1.7448
O 4.3771 1.2284 5.9542
O 5.0331 2.7452 3.8497
O 5.1216 2.8587 11.6476
```


Starting from a structure optimized by DFT (GGA-PBE), the X-ray diffraction stick pattern of NaGdO2 was simulated for Cu Kα (weighted mean of Kα1 and Kα2).
Neutral-atom scattering factors, no anomalous dispersion.

Main lines, by angle (5 to 70 degrees two-theta):
20.73 deg, rel. 100.0
31.65 deg, rel. 23.2
31.84 deg, rel. 80.0
33.70 deg, rel. 32.9
38.45 deg, rel. 49.4
44.08 deg, rel. 28.0
52.04 deg, rel. 36.6
65.43 deg, rel. 22.0

Structure:
```
16
Lattice="4.6824 0.0000 0.0000 0.0000 4.6824 0.0000 0.0000 0.0000 10.6389" Properties=species:S:1:pos:R:3 pbc="T T T"
Na 0.0000 1.1706 3.9896
Na 0.0000 3.5118 6.6493
Na 2.3412 1.1706 1.3299
Na 2.3412 3.5118 9.3090
Gd 0.0000 1.1706 9.3090
Gd 0.0000 3.5118 1.3299
Gd 2.3412 1.1706 6.6493
Gd 2.3412 3.5118 3.9896
O 0.0000 1.1706 1.0096
O 0.0000 1.1706 6.9696
O 0.0000 3.5118 3.6693
O 0.0000 3.5118 9.6293
O 2.3412 1.1706 4.3099
O 2.3412 1.1706 8.9887
O 2.3412 3.5118 1.6502
O 2.3412 3.5118 6.3290
```


Starting from a structure optimized by DFT (GGA-PBE), the X-ray diffraction stick pattern of NaGd3Ti2Sb2O14 was simulated for Cu Kα (weighted mean of Kα1 and Kα2).
Neutral-atom scattering factors, no anomalous dispersion.

Main lines, by angle (5 to 70 degrees two-theta):
17.08 deg, rel. 31.2
29.61 deg, rel. 100.0
29.83 deg, rel. 48.1
30.15 deg, rel. 47.8
34.54 deg, rel. 59.2
49.45 deg, rel. 30.7
49.86 deg, rel. 30.7
58.77 deg, rel. 20.7

Structure:
```
22
Lattice="6.3079 -3.7078 0.0000 6.3079 3.7078 0.0000 -4.1324 0.0000 5.9900" Properties=species:S:1:pos:R:3 pbc="T T T"
Na 0.0000 0.0000 0.0000
Gd -2.0662 0.0000 2.9950
Gd 3.1539 1.8539 0.0000
Gd 3.1539 -1.8539 0.0000
Ti 6.3079 0.0000 0.0000
Ti 4.2417 0.0000 2.9950
Sb 1.0877 1.8539 2.9950
Sb 1.0877 -1.8539 2.9950
O -1.9344 0.0000 5.2161
O 0.3941 0.0000 2.5636
O 3.0017 1.4877 2.5338
O 1.2780 1.4248 4.9270
O 5.4816 1.4877 3.4562
O 4.6621 0.0000 1.0887
O 7.2054 1.4248 1.0630
O 1.2780 -1.4248 4.9270
O 3.8212 0.0000 4.9013
O 3.0017 -1.4877 2.5338
O 7.2054 -1.4248 1.0630
O 5.4816 -1.4877 3.4562
O 8.0892 0.0000 3.4264
O 10.4178 0.0000 0.7739
```